Calculated X-ray diffraction stick pattern of Tm2In for Cu Kα, 1.54184 Å, from DFT lattice parameters and positions (GGA-PBE).

Atomic structure:
a = 5.3078 Å, b = 5.3078 Å, c = 6.6971 Å
α = 90.00°, β = 90.00°, γ = 120.00°
Space group P6_3/mmc (No. 194)
Inequivalent atoms, fractional coordinates:
Tm1 0.0000 0.0000 0.0000
Tm2 0.3333 0.6667 0.2500
In1 0.3333 0.6667 0.7500

Principal peaks in the range 15 to 90 degrees two-theta, in order of rising 2θ:
2theta, Rel. int., index
33.10, 99, 1 0 2
33.77, 100, 1 1 0
48.01, 35, 2 0 2
59.99, 36, 2 1 2
60.42, 19, 3 0 0
65.97, 29, 1 1 4
80.64, 15, 3 1 2
86.01, 14, 3 0 4

***

Calculated X-ray diffraction stick pattern of Tm3In for Cu Kα, 1.54184 Å, from DFT lattice parameters and positions (GGA-PBE).

Atomic structure:
a = 6.8296 Å, b = 6.8296 Å, c = 5.4767 Å
α = 90.00°, β = 90.00°, γ = 120.00°
Space group P6_3/mmc (No. 194)
Inequivalent atoms, fractional coordinates:
Tm1 0.1694 0.3389 0.2500
In1 0.3333 0.6667 0.7500

Principal peaks in the range 15 to 90 degrees two-theta, in order of rising 2θ:
2theta, Rel. int., index
30.22, 24, 2 0 0
32.70, 26, 0 0 2
34.47, 100, 2 0 1
45.12, 16, 2 0 2
53.68, 19, 2 2 0
59.51, 21, 2 0 3
64.29, 22, 2 2 2
65.37, 16, 4 0 1

***

Calculated X-ray diffraction stick pattern of Tm3In for Cu Kα, 1.54184 Å, from DFT lattice parameters and positions (GGA-PBE).

Atomic structure:
a = 4.7887 Å, b = 4.7887 Å, c = 4.7887 Å
α = 90.00°, β = 90.00°, γ = 90.00°
Space group Pm-3m (No. 221)
Inequivalent atoms, fractional coordinates:
Tm1 0.0000 0.0000 0.5000
In1 0.5000 0.5000 0.5000

Principal peaks in the range 15 to 90 degrees two-theta, in order of rising 2θ:
2theta, Rel. int., index
18.53, 2, 1 0 0
32.38, 100, 1 1 1
37.56, 50, 2 0 0
54.17, 35, 2 2 0
64.54, 41, 3 1 1
67.79, 12, 2 2 2
80.17, 6, 4 0 0
89.13, 18, 3 3 1

***

Calculated X-ray diffraction stick pattern of Tm5In4 for Cu Kα, 1.54184 Å, from DFT lattice parameters and positions (GGA-PBE).

Atomic structure:
a = 9.1667 Å, b = 9.1667 Å, c = 6.6303 Å
α = 90.00°, β = 90.00°, γ = 120.00°
Space group P6_3/mcm (No. 193)
Inequivalent atoms, fractional coordinates:
Tm1 0.0000 0.2883 0.2500
Tm2 0.3333 0.6667 0.0000
In1 0.0000 0.0000 0.0000
In2 0.0000 0.3729 0.7500

Principal peaks in the range 15 to 90 degrees two-theta, in order of rising 2θ:
2theta, Rel. int., index
32.76, 31, 2 1 1
33.36, 100, 1 1 2
33.88, 85, 3 0 0
48.28, 30, 2 2 2
55.43, 9, 0 0 4
60.28, 23, 4 1 2
66.56, 28, 3 0 4
67.15, 10, 5 1 1

***

Calculated X-ray diffraction stick pattern of Y3In5 for Cu Kα, 1.54184 Å, from DFT lattice parameters and positions (GGA-PBE).

Atomic structure:
a = 9.9141 Å, b = 8.1087 Å, c = 10.4342 Å
α = 90.00°, β = 90.00°, γ = 90.00°
Space group Cmcm (No. 63)
Inequivalent atoms, fractional coordinates:
Y1 0.0000 0.1238 0.2500
Y2 0.2031 0.5000 0.0000
In1 0.0000 0.1920 0.5447
In2 0.0000 0.4924 0.7500
In3 0.2166 0.2055 0.7500

Principal peaks in the range 15 to 90 degrees two-theta, in order of rising 2θ:
2theta, Rel. int., index
33.32, 100, 2 2 2
33.96, 25, 3 1 2
34.38, 63, 0 0 4
36.24, 25, 4 0 0
38.64, 20, 2 2 3
39.21, 22, 3 1 3
57.65, 19, 5 3 0
66.71, 17, 3 5 2

***

Calculated X-ray diffraction stick pattern of Y3In for Cu Kα, 1.54184 Å, from DFT lattice parameters and positions (GGA-PBE).

Atomic structure:
a = 6.9028 Å, b = 6.9028 Å, c = 5.6488 Å
α = 90.00°, β = 90.00°, γ = 120.00°
Space group P6_3/mmc (No. 194)
Inequivalent atoms, fractional coordinates:
Y1 0.1711 0.3421 0.2500
In1 0.3333 0.6667 0.7500

Principal peaks in the range 15 to 90 degrees two-theta, in order of rising 2θ:
2theta, Rel. int., index
29.89, 23, 2 0 0
31.68, 27, 0 0 2
33.93, 100, 2 0 1
44.11, 16, 2 0 2
53.07, 18, 2 2 0
57.88, 21, 2 0 3
63.14, 21, 2 2 2
64.49, 15, 4 0 1

***

Calculated X-ray diffraction stick pattern of YIn3 for Cu Kα, 1.54184 Å, from DFT lattice parameters and positions (GGA-PBE).

Atomic structure:
a = 4.6547 Å, b = 4.6547 Å, c = 4.6547 Å
α = 90.00°, β = 90.00°, γ = 90.00°
Space group Pm-3m (No. 221)
Inequivalent atoms, fractional coordinates:
Y1 0.0000 0.0000 0.0000
In1 0.0000 0.5000 0.5000

Principal peaks in the range 15 to 90 degrees two-theta, in order of rising 2θ:
2theta, Rel. int., index
19.07, 1, 1 0 0
27.09, 1, 1 1 0
33.34, 100, 1 1 1
38.69, 50, 2 0 0
55.87, 33, 2 2 0
66.64, 38, 3 1 1
70.02, 11, 2 2 2
82.98, 5, 4 0 0

***

Calculated X-ray diffraction stick pattern of Y3In5 for Cu Kα, 1.54184 Å, from DFT lattice parameters and positions (GGA-PBE).

Atomic structure:
a = 12.7144 Å, b = 10.9728 Å, c = 6.8041 Å
α = 90.00°, β = 90.00°, γ = 90.00°
Space group Pnma (No. 62)
Inequivalent atoms, fractional coordinates:
Y1 0.0559 0.2500 0.1527
Y2 0.1435 0.5028 0.6080
In1 0.0026 0.2500 0.6203
In2 0.0968 0.5446 0.1242
In3 0.2123 0.7500 0.8740
In4 0.2493 0.2500 0.8487

Principal peaks in the range 15 to 90 degrees two-theta, in order of rising 2θ:
2theta, Rel. int., index
29.70, 17, 3 2 1
31.06, 16, 4 0 1
31.74, 65, 1 2 2
32.59, 100, 0 4 0
33.79, 46, 3 0 2
36.76, 30, 1 3 2
47.69, 23, 3 4 2
64.42, 23, 0 4 4

***

Calculated X-ray diffraction stick pattern of Y2In for Cu Kα, 1.54184 Å, from DFT lattice parameters and positions (GGA-PBE).

Atomic structure:
a = 5.4064 Å, b = 5.4064 Å, c = 6.7717 Å
α = 90.00°, β = 90.00°, γ = 120.00°
Space group P6_3/mmc (No. 194)
Inequivalent atoms, fractional coordinates:
Y1 0.0000 0.0000 0.0000
Y2 0.3333 0.6667 0.2500
In1 0.3333 0.6667 0.7500

Principal peaks in the range 15 to 90 degrees two-theta, in order of rising 2θ:
2theta, Rel. int., index
32.64, 89, 1 0 2
33.14, 100, 1 1 0
42.81, 15, 1 1 2
47.20, 31, 2 0 2
58.88, 31, 2 1 2
59.20, 18, 3 0 0
65.00, 27, 1 1 4
78.96, 13, 3 1 2

***

Calculated X-ray diffraction stick pattern of ZnIn3 for Cu Kα, 1.54184 Å, from DFT lattice parameters and positions (GGA-PBE).

Atomic structure:
a = 7.3815 Å, b = 7.3815 Å, c = 7.3815 Å
α = 90.00°, β = 90.00°, γ = 90.00°
Space group Fm-3m (No. 225)
Inequivalent atoms, fractional coordinates:
Zn1 0.0000 0.0000 0.0000
In1 0.0000 0.0000 0.5000
In2 0.2500 0.2500 0.2500

Principal peaks in the range 15 to 90 degrees two-theta, in order of rising 2θ:
2theta, Rel. int., index
20.84, 3, 1 1 1
24.11, 1, 2 0 0
34.36, 100, 2 2 0
40.53, 1, 3 1 1
49.39, 17, 4 0 0
61.55, 35, 4 2 2
72.43, 11, 4 4 0
82.68, 15, 6 2 0

***

Calculated X-ray diffraction stick pattern of ZnIn3 for Cu Kα, 1.54184 Å, from DFT lattice parameters and positions (GGA-PBE).

Atomic structure:
a = 4.5222 Å, b = 4.5222 Å, c = 9.6684 Å
α = 90.00°, β = 90.00°, γ = 90.00°
Space group I4/mmm (No. 139)
Inequivalent atoms, fractional coordinates:
Zn1 0.0000 0.0000 0.0000
In1 0.0000 0.0000 0.5000
In2 0.0000 0.5000 0.2500

Principal peaks in the range 15 to 90 degrees two-theta, in order of rising 2θ:
2theta, Rel. int., index
33.60, 100, 1 1 2
37.20, 19, 0 0 4
39.87, 31, 2 0 0
55.66, 23, 2 0 4
57.65, 10, 2 2 0
64.79, 14, 1 1 6
68.41, 24, 3 1 2
70.64, 11, 2 2 4

***

Calculated X-ray diffraction stick pattern of Zn3In for Cu Kα, 1.54184 Å, from DFT lattice parameters and positions (GGA-PBE).

Atomic structure:
a = 5.9511 Å, b = 10.6898 Å, c = 4.6801 Å
α = 90.00°, β = 90.00°, γ = 90.00°
Space group Cmcm (No. 63)
Inequivalent atoms, fractional coordinates:
Zn1 0.0000 0.1530 0.2500
Zn2 0.2315 0.0769 0.7500
In1 0.0000 0.3334 0.7500

Principal peaks in the range 15 to 90 degrees two-theta, in order of rising 2θ:
2theta, Rel. int., index
34.50, 24, 2 2 0
38.47, 37, 0 0 2
38.80, 53, 0 4 1
39.66, 100, 2 2 1
52.62, 14, 2 2 2
60.57, 17, 2 6 0
70.39, 18, 2 2 3
74.08, 18, 2 6 2